Computed powder diffractogram
Compound: Ce2HfUN4
Radiation: Cu Kα
Structure: a PBE-relaxed structure

Peak list (6 most intense, 2θ from 15° to 90°, sorted by position)
| 2theta | I/Imax | (hkl) |
| --- | --- | --- |
| 31.2 | 36 | 0 0 2 |
| 32.2 | 100 | 2 0 0 |
| 37.0 | 63 | 1 1 1 |
| 37.2 | 31 | 2 0 -2 |
| 52.9 | 22 | 1 1 -3 |
| 54.0 | 31 | 0 2 0 |

Structural model:
abc: 5.877 3.399 6.038
angles: 90.00 108.52 90.00
Sites, in units of the cell vectors:
Ce: 0.000 0.000 0.000
Ce: 0.500 0.500 0.000
Hf: 0.000 0.500 0.500
U: 0.500 0.000 0.500
N: 0.234 0.000 0.712
N: 0.253 0.500 0.285
N: 0.747 0.500 0.715
N: 0.766 0.000 0.288